The following is a computed X-ray powder pattern of Sm2GaPb. It was derived from a crystal structure in Alexandria, relaxed with GGA-PBE, using λ = 1.5418 Å (Cu Kα).
Lines closer than 0.1° are merged.

Principal peaks in the range 2θ from 10° to 90°, in order of rising 2θ:
2θ (°), d (Å), intensity, index
29.60, 3.018, 100, 1 1 1
31.09, 2.877, 30, 2 0 -2
37.02, 2.428, 37, 2 1 0
37.16, 2.419, 38, 1 1 -3
37.71, 2.386, 22, 2 1 -2
39.21, 2.298, 28, 1 0 3
42.35, 2.134, 24, 0 2 0
59.08, 1.564, 17, 1 2 3

```
Sm2GaPb
1.0
6.208 0.000 0.000
0.000 4.268 0.000
-2.758 0.000 8.519
Sm Ga Pb
4 2 2
Direct
0.194 0.250 0.424
0.277 0.750 0.062
0.723 0.250 0.938
0.806 0.750 0.576
0.120 0.250 0.793
0.880 0.750 0.207
0.378 0.750 0.710
0.622 0.250 0.290
```